1.
Structure and computed PXRD pattern of ScWAu2 (a DFT-relaxed cell (GGA-PBE, Alexandria); Cu Kα X-rays).
Peak positions follow from Bragg's law for the DFT cell and can differ from measured ones.

Most intense lines, 2θ = 5–70°, most intense first:
d_spacing, 2θ (°), I/Imax
2.403, 37.42, 100
8.627, 10.25, 29
2.042, 44.36, 20
2.157, 41.89, 18
2.050, 44.19, 16
1.483, 62.65, 12
1.486, 62.51, 11
1.447, 64.39, 10
2.743, 32.64, 9
4.314, 20.59, 6

Lattice parameters (Å, degrees): 4.0853 4.0992 8.6272 90.00 90.00 90.00
Space group Cmm2 (No. 35)
Asymmetric unit:
Sc1 0.0000 0.0000 0.0000 x2
W1 0.0000 0.5000 0.2544 x2
Au1 0.0000 0.0000 0.4867 x2
Au2 0.0000 0.5000 0.7523 x2

---

2.
Structure and computed PXRD pattern of YScAu (a DFT-relaxed cell (GGA-PBE, Alexandria); Cu Kα X-rays).
Peak positions follow from Bragg's law for the DFT cell and can differ from measured ones.

Most intense lines, 2θ = 5–70°, most intense first:
d_spacing, 2θ (°), I/Imax
3.221, 27.69, 100
2.391, 37.61, 93
3.840, 23.16, 84
2.278, 39.57, 73
2.109, 42.87, 61
1.548, 59.75, 46
2.810, 31.85, 42
1.959, 46.35, 29
3.570, 24.94, 27
1.611, 57.20, 24

Lattice parameters (Å, degrees): 4.5553 4.5553 7.1394 90.00 90.00 90.00
Space group P4/nmm (No. 129, origin choice 2)
Asymmetric unit:
Y1 0.2500 0.2500 0.1338 x2
Sc1 0.2500 0.7500 0.5000 x2
Au1 0.2500 0.2500 0.7323 x2

---

3.
Structure and computed PXRD pattern of YSc2Au6 (a DFT-relaxed cell (GGA-PBE, Alexandria); Cu Kα X-rays).
Peak positions follow from Bragg's law for the DFT cell and can differ from measured ones.

Most intense lines, 2θ = 5–70°, most intense first:
d_spacing, 2θ (°), I/Imax
2.304, 39.10, 100
2.589, 34.64, 69
2.556, 35.11, 66
2.430, 36.99, 56
1.990, 45.59, 34
2.137, 42.30, 33
3.380, 26.37, 28
1.469, 63.31, 23
1.433, 65.07, 22
1.429, 65.29, 22

Lattice parameters (Å, degrees): 5.1180 15.5351 5.1457 90.00 119.36 90.00
Space group C2/m (No. 12)
Asymmetric unit:
Y1 0.0000 0.0000 0.0000 x2
Sc1 0.0000 0.3342 0.5000 x4
Au1 0.1566 0.5000 0.3301 x4
Au2 0.1658 0.1695 0.8282 x8

---

4.
Structure and computed PXRD pattern of Sc2Zn5Au3 (a DFT-relaxed cell (GGA-PBE, Alexandria); Cu Kα X-rays).
Peak positions follow from Bragg's law for the DFT cell and can differ from measured ones.

Most intense lines, 2θ = 5–70°, most intense first:
d_spacing, 2θ (°), I/Imax
2.321, 38.79, 100
3.471, 25.66, 81
2.218, 40.68, 61
3.632, 24.51, 55
2.191, 41.21, 44
2.106, 42.94, 43
3.273, 27.25, 33
1.869, 48.72, 30
1.952, 46.53, 26
3.900, 22.80, 22

Lattice parameters (Å, degrees): 4.4354 24.5655 6.5461 90.00 90.00 90.00
Space group Cmc2_1 (No. 36)
Asymmetric unit:
Sc1 0.0000 0.0231 0.0000 x4
Sc2 0.0000 0.3044 0.7819 x4
Zn1 0.0000 0.0950 0.6343 x4
Zn2 0.0000 0.1966 0.9674 x4
Zn3 0.0000 0.1995 0.5577 x4
Zn4 0.0000 0.3776 0.4400 x4
Zn5 0.0000 0.4348 0.8134 x4
Au1 0.0000 0.1200 0.2435 x4
Au2 0.0000 0.2773 0.2585 x4
Au3 0.0000 0.4637 0.2069 x4

---

5.
Structure and computed PXRD pattern of Sc2Zn12Au7 (a DFT-relaxed cell (GGA-PBE, Alexandria); Cu Kα X-rays).
Peak positions follow from Bragg's law for the DFT cell and can differ from measured ones.

Most intense lines, 2θ = 5–70°, most intense first:
d_spacing, 2θ (°), I/Imax
2.140, 42.24, 100
3.706, 24.01, 78
2.438, 36.86, 59
2.083, 43.45, 39
3.075, 29.04, 33
2.300, 39.16, 24
2.811, 31.84, 20
2.702, 33.16, 18
1.847, 49.33, 17
2.131, 42.41, 16

Lattice parameters (Å, degrees): 11.3226 11.3226 3.2380 90.00 90.00 120.00
Space group P-3 (No. 147)
Asymmetric unit:
Sc1 0.3333 0.6667 0.2470 x2
Zn1 0.0677 0.4541 0.7505 x6
Zn2 0.0774 0.2501 0.2392 x6
Au1 0.0000 0.0000 0.5000 x1
Au2 0.1436 0.7157 0.7526 x6

---

6.
Structure and computed PXRD pattern of Sc2Zn2Au (a DFT-relaxed cell (GGA-PBE, Alexandria); Cu Kα X-rays).
Peak positions follow from Bragg's law for the DFT cell and can differ from measured ones.

Most intense lines, 2θ = 5–70°, most intense first:
d_spacing, 2θ (°), I/Imax
2.314, 38.92, 100
2.401, 37.46, 56
7.904, 11.19, 52
1.369, 68.56, 36
3.320, 26.86, 29
1.698, 54.02, 19
2.854, 31.34, 16
3.952, 22.50, 13
2.297, 39.22, 12
2.052, 44.14, 10

Lattice parameters (Å, degrees): 3.3953 3.3953 15.8080 90.00 90.00 90.00
Space group I4mm (No. 107)
Asymmetric unit:
Sc1 0.0000 0.0000 0.0000 x2
Sc2 0.0000 0.0000 0.2053 x2
Zn1 0.0000 0.0000 0.6036 x2
Zn2 0.0000 0.0000 0.8076 x2
Au1 0.0000 0.0000 0.3993 x2

---

7.
Structure and computed PXRD pattern of Sc2ZnAu4 (a DFT-relaxed cell (GGA-PBE, Alexandria); Cu Kα X-rays).
Peak positions follow from Bragg's law for the DFT cell and can differ from measured ones.

Most intense lines, 2θ = 5–70°, most intense first:
d_spacing, 2θ (°), I/Imax
2.458, 36.55, 100
2.367, 38.01, 84
2.216, 40.72, 81
2.253, 40.02, 80
3.543, 25.14, 74
3.014, 29.64, 66
2.341, 38.45, 52
2.525, 35.56, 38
2.129, 42.46, 36
2.020, 44.88, 34

Lattice parameters (Å, degrees): 8.2211 4.9169 7.6384 90.00 120.47 90.00
Space group C2/m (No. 12)
Asymmetric unit:
Sc1 0.0589 0.0000 0.2747 x4
Zn1 0.0000 0.5000 0.5000 x2
Au1 0.1851 0.5000 0.8894 x4
Au2 0.2283 0.5000 0.2935 x4

---

8.
Structure and computed PXRD pattern of ScZn7Au4 (a DFT-relaxed cell (GGA-PBE, Alexandria); Cu Kα X-rays).
Peak positions follow from Bragg's law for the DFT cell and can differ from measured ones.

Most intense lines, 2θ = 5–70°, most intense first:
d_spacing, 2θ (°), I/Imax
2.527, 35.52, 100
2.106, 42.95, 94
2.089, 43.32, 88
2.471, 36.36, 77
1.767, 51.74, 55
3.513, 25.35, 43
4.349, 20.42, 42
2.773, 32.28, 32
2.443, 36.80, 26
1.363, 68.91, 23

Lattice parameters (Å, degrees): 10.2514 5.0549 9.4787 90.00 120.52 90.00
Space group C2/m (No. 12)
Asymmetric unit:
Sc1 0.0000 0.0000 0.0000 x2
Zn1 0.0000 0.5000 0.0000 x2
Zn2 0.1077 0.0000 0.4496 x4
Zn3 0.1663 0.5000 0.6312 x4
Zn4 0.1885 0.5000 0.9055 x4
Au1 0.0974 0.5000 0.3251 x4
Au2 0.1782 0.0000 0.7776 x4

---

9.
Structure and computed PXRD pattern of ScZn4Au2 (a DFT-relaxed cell (GGA-PBE, Alexandria); Cu Kα X-rays).
Peak positions follow from Bragg's law for the DFT cell and can differ from measured ones.

Most intense lines, 2θ = 5–70°, most intense first:
d_spacing, 2θ (°), I/Imax
2.259, 39.91, 100
3.338, 26.71, 75
2.162, 41.78, 52
2.185, 41.32, 50
2.077, 43.58, 49
3.366, 26.48, 46
2.653, 33.79, 43
3.732, 23.84, 40
1.810, 50.41, 38
1.394, 67.15, 32

Lattice parameters (Å, degrees): 7.4640 7.4640 4.3698 90.00 90.00 90.00
Space group P4_2/mnm (No. 136)
Asymmetric unit:
Sc1 0.0000 0.0000 0.0000 x2
Zn1 0.1139 0.3650 0.5000 x8
Au1 0.1859 0.8141 0.5000 x4

---

10.
Structure and computed PXRD pattern of Sc2Zn2Au (a DFT-relaxed cell (GGA-PBE, Alexandria); Cu Kα X-rays).
Peak positions follow from Bragg's law for the DFT cell and can differ from measured ones.

Most intense lines, 2θ = 5–70°, most intense first:
d_spacing, 2θ (°), I/Imax
2.253, 40.01, 100
2.521, 35.61, 80
2.215, 40.74, 66
2.409, 37.32, 64
2.184, 41.33, 61
2.230, 40.45, 50
4.150, 21.41, 46
3.429, 25.99, 45
3.396, 26.24, 44
3.347, 26.63, 41

Lattice parameters (Å, degrees): 15.5205 4.4292 5.5265 90.00 99.00 90.00
Space group Cm (No. 8)
Asymmetric unit:
Sc1 0.0000 0.0000 0.0000 x2
Sc2 0.0606 0.5000 0.5451 x2
Sc3 0.2887 0.5000 0.0742 x2
Sc4 0.3589 0.0000 0.6630 x2
Zn1 0.1830 0.0000 0.8117 x2
Zn2 0.1917 0.0000 0.3097 x2
Zn3 0.2445 0.5000 0.5592 x2
Zn4 0.4042 0.0000 0.1734 x2
Au1 0.1081 0.5000 0.0636 x2
Au2 0.4393 0.5000 0.4746 x2

---

11.
Structure and computed PXRD pattern of Sc6ZnAu5 (a DFT-relaxed cell (GGA-PBE, Alexandria); Cu Kα X-rays).
Peak positions follow from Bragg's law for the DFT cell and can differ from measured ones.

Most intense lines, 2θ = 5–70°, most intense first:
d_spacing, 2θ (°), I/Imax
2.400, 37.48, 100
3.407, 26.15, 34
1.386, 67.62, 20
2.420, 37.16, 19
3.381, 26.36, 18
1.704, 53.81, 13
1.393, 67.20, 12
1.957, 46.40, 8
1.514, 61.21, 7
1.968, 46.14, 7

Lattice parameters (Å, degrees): 4.7991 14.5170 6.7615 90.00 90.00 90.00
Space group Cmmm (No. 65)
Asymmetric unit:
Sc1 0.0000 0.0000 0.2450 x4
Sc2 0.0000 0.3325 0.2537 x8
Zn1 0.0000 0.5000 0.5000 x2
Au1 0.0000 0.1528 0.5000 x4
Au2 0.0000 0.1714 0.0000 x4
Au3 0.0000 0.5000 0.0000 x2

---

12.
Structure and computed PXRD pattern of ScZn2Au2 (a DFT-relaxed cell (GGA-PBE, Alexandria); Cu Kα X-rays).
Peak positions follow from Bragg's law for the DFT cell and can differ from measured ones.

Most intense lines, 2θ = 5–70°, most intense first:
d_spacing, 2θ (°), I/Imax
2.310, 38.98, 100
2.324, 38.75, 97
3.853, 23.08, 67
1.638, 56.14, 33
1.657, 55.44, 24
1.344, 69.99, 14
1.982, 45.79, 12
2.379, 37.82, 12
2.663, 33.65, 11
1.504, 61.66, 10

Lattice parameters (Å, degrees): 4.6210 4.6210 14.2722 90.00 90.00 120.00
Space group R-3m (No. 166, hexagonal axes)
Asymmetric unit:
Sc1 0.0000 0.0000 0.0000 x3
Zn1 0.0000 0.0000 0.2120 x6
Au1 0.0000 0.0000 0.4048 x6

---

13.
Structure and computed PXRD pattern of ScZn3Au (a DFT-relaxed cell (GGA-PBE, Alexandria); Cu Kα X-rays).
Peak positions follow from Bragg's law for the DFT cell and can differ from measured ones.

Most intense lines, 2θ = 5–70°, most intense first:
d_spacing, 2θ (°), I/Imax
2.488, 36.11, 100
2.144, 42.15, 50
1.924, 47.23, 41
6.441, 13.75, 39
4.228, 21.01, 36
2.055, 44.06, 30
3.268, 27.29, 30
2.123, 42.58, 29
2.381, 37.79, 28
2.294, 39.27, 26

Lattice parameters (Å, degrees): 4.2860 25.7657 3.2684 90.00 90.00 90.00
Space group Cmmm (No. 65)
Asymmetric unit:
Sc1 0.0000 0.1735 0.0000 x4
Zn1 0.0000 0.0601 0.5000 x4
Zn2 0.0000 0.2723 0.5000 x4
Zn3 0.0000 0.4533 0.0000 x4
Au1 0.0000 0.3725 0.5000 x4